Entry 1:
Starting from DFT lattice parameters and positions (PBE), the XRD peak list of Ac4NpSb5 was simulated for Cu Kα (weighted mean of Kα1 and Kα2).
Kinematic intensities with the Lorentz-polarization factor, no thermal factor.

Atomic structure:
Cell lengths 17.037, 17.037, 17.037 Å; angles 164.01, 164.01, 22.69 degrees
Fractional positions:
Ac  0.099  0.099  0.000
Ac  0.301  0.301  0.000
Ac  0.699  0.699  0.000
Ac  0.901  0.901  0.000
Np  0.500  0.500  0.000
Sb  0.000  0.000  0.000
Sb  0.200  0.200  0.000
Sb  0.405  0.405  0.000
Sb  0.595  0.595  0.000
Sb  0.800  0.800  0.000

Main lines, sorted by position (10 to 80 degrees two-theta):
3.866 Å, 2θ = 23.0°, intensity 16
3.348 Å, 2θ = 26.6°, intensity 100
2.368 Å, 2θ = 38.0°, intensity 79
2.021 Å, 2θ = 44.9°, intensity 6
1.933 Å, 2θ = 47.0°, intensity 29
1.676 Å, 2θ = 54.8°, intensity 9
1.499 Å, 2θ = 61.9°, intensity 26
1.495 Å, 2θ = 62.1°, intensity 12
1.368 Å, 2θ = 68.6°, intensity 19
1.365 Å, 2θ = 68.8°, intensity 9


Entry 2:
Starting from DFT lattice parameters and positions (PBE), the XRD peak list of Ac2NpSe4 was simulated for Cu Kα (weighted mean of Kα1 and Kα2).
Kinematic intensities with the Lorentz-polarization factor, no thermal factor.

Atomic structure:
Cell lengths 7.652, 7.652, 14.371 Å; angles 90.00, 90.00, 147.84 degrees
Fractional positions:
Ac  0.132  0.868  0.575
Ac  0.132  0.868  0.925
Ac  0.868  0.132  0.075
Ac  0.868  0.132  0.425
Np  0.374  0.626  0.750
Np  0.626  0.374  0.250
Se  0.014  0.986  0.750
Se  0.220  0.780  0.128
Se  0.220  0.780  0.372
Se  0.500  0.500  0.000
Se  0.500  0.500  0.500
Se  0.780  0.220  0.628
Se  0.780  0.220  0.872
Se  0.986  0.014  0.250

Main lines, sorted by position (10 to 80 degrees two-theta):
4.014 Å, 2θ = 22.1°, intensity 100
3.130 Å, 2θ = 28.5°, intensity 46
2.928 Å, 2θ = 30.5°, intensity 69
2.394 Å, 2θ = 37.6°, intensity 32
2.348 Å, 2θ = 38.3°, intensity 37
2.290 Å, 2θ = 39.3°, intensity 25
2.182 Å, 2θ = 41.4°, intensity 34
2.120 Å, 2θ = 42.7°, intensity 24
1.874 Å, 2θ = 48.6°, intensity 26
1.520 Å, 2θ = 60.9°, intensity 22


Entry 3:
Starting from DFT lattice parameters and positions (PBE), the XRD peak list of Ac2NpSe5 was simulated for Cu Kα (weighted mean of Kα1 and Kα2).
Kinematic intensities with the Lorentz-polarization factor, no thermal factor.

Atomic structure:
Cell lengths 8.286, 12.608, 4.405 Å; angles 90.00, 90.00, 90.00 degrees
Fractional positions:
Ac  0.051  0.172  0.000
Ac  0.449  0.672  0.000
Ac  0.551  0.328  0.000
Ac  0.949  0.828  0.000
Np  0.000  0.500  0.500
Np  0.500  0.000  0.500
Se  0.000  0.000  0.500
Se  0.160  0.702  0.500
Se  0.176  0.417  0.000
Se  0.324  0.917  0.000
Se  0.340  0.202  0.500
Se  0.500  0.500  0.500
Se  0.660  0.798  0.500
Se  0.676  0.083  0.000
Se  0.824  0.583  0.000
Se  0.840  0.298  0.500

Main lines, sorted by position (10 to 80 degrees two-theta):
4.143 Å, 2θ = 21.4°, intensity 47
3.748 Å, 2θ = 23.7°, intensity 74
3.717 Å, 2θ = 23.9°, intensity 56
3.611 Å, 2θ = 24.7°, intensity 32
2.935 Å, 2θ = 30.5°, intensity 62
2.855 Å, 2θ = 31.3°, intensity 34
2.722 Å, 2θ = 32.9°, intensity 100
2.563 Å, 2θ = 35.0°, intensity 42
2.203 Å, 2θ = 41.0°, intensity 42
2.116 Å, 2θ = 42.7°, intensity 42


Entry 4:
Starting from DFT lattice parameters and positions (PBE), the XRD peak list of Ac2YNpSe6 was simulated for Cu Kα (weighted mean of Kα1 and Kα2).
Kinematic intensities with the Lorentz-polarization factor, no thermal factor.

Atomic structure:
Cell lengths 7.917, 7.917, 7.917 Å; angles 57.44, 57.44, 57.44 degrees
Fractional positions:
Ac  0.000  0.000  0.000
Ac  0.498  0.498  0.498
Y  0.707  0.707  0.707
Np  0.207  0.207  0.207
Se  0.070  0.428  0.837
Se  0.340  0.923  0.576
Se  0.428  0.837  0.070
Se  0.576  0.340  0.923
Se  0.837  0.070  0.428
Se  0.923  0.576  0.340

Main lines, sorted by position (10 to 80 degrees two-theta):
5.482 Å, 2θ = 16.2°, intensity 46
3.953 Å, 2θ = 22.5°, intensity 100
3.805 Å, 2θ = 23.4°, intensity 78
3.294 Å, 2θ = 27.1°, intensity 63
2.741 Å, 2θ = 32.7°, intensity 76
2.490 Å, 2θ = 36.1°, intensity 99
2.224 Å, 2θ = 40.6°, intensity 63
2.197 Å, 2θ = 41.1°, intensity 75
1.902 Å, 2θ = 47.8°, intensity 28
1.893 Å, 2θ = 48.1°, intensity 27


Entry 5:
Starting from DFT lattice parameters and positions (PBE), the XRD peak list of AcNpSi4 was simulated for Cu Kα (weighted mean of Kα1 and Kα2).
Kinematic intensities with the Lorentz-polarization factor, no thermal factor.

Atomic structure:
Cell lengths 7.924, 15.396, 4.241 Å; angles 90.00, 90.00, 90.00 degrees
Fractional positions:
Ac  0.119  0.153  0.000
Ac  0.381  0.653  0.000
Ac  0.619  0.347  0.000
Ac  0.881  0.847  0.000
Np  0.123  0.416  0.000
Np  0.377  0.916  0.000
Np  0.623  0.084  0.000
Np  0.877  0.584  0.000
Si  0.028  0.695  0.500
Si  0.126  0.548  0.500
Si  0.126  0.958  0.500
Si  0.223  0.809  0.500
Si  0.277  0.309  0.500
Si  0.374  0.048  0.500
Si  0.374  0.458  0.500
Si  0.472  0.195  0.500
Si  0.528  0.805  0.500
Si  0.626  0.542  0.500
Si  0.626  0.952  0.500
Si  0.723  0.691  0.500
Si  0.777  0.191  0.500
Si  0.874  0.042  0.500
Si  0.874  0.452  0.500
Si  0.972  0.305  0.500

Main lines, sorted by position (10 to 80 degrees two-theta):
4.241 Å, 2θ = 20.9°, intensity 45
3.841 Å, 2θ = 23.2°, intensity 66
3.462 Å, 2θ = 25.7°, intensity 22
3.136 Å, 2θ = 28.5°, intensity 25
3.022 Å, 2θ = 29.6°, intensity 23
2.847 Å, 2θ = 31.4°, intensity 100
2.682 Å, 2θ = 33.4°, intensity 36
2.522 Å, 2θ = 35.6°, intensity 46
2.120 Å, 2θ = 42.6°, intensity 35
1.857 Å, 2θ = 49.1°, intensity 19


Entry 6:
Starting from DFT lattice parameters and positions (PBE), the XRD peak list of AcNpSi was simulated for Cu Kα (weighted mean of Kα1 and Kα2).
Kinematic intensities with the Lorentz-polarization factor, no thermal factor.

Atomic structure:
Cell lengths 4.611, 4.611, 10.836 Å; angles 99.11, 99.11, 47.94 degrees
Fractional positions:
Ac  0.185  0.185  0.168
Ac  0.815  0.815  0.832
Np  0.353  0.353  0.530
Np  0.647  0.647  0.470
Si  0.084  0.084  0.657
Si  0.916  0.916  0.343

Main lines, sorted by position (10 to 80 degrees two-theta):
4.149 Å, 2θ = 21.4°, intensity 28
3.557 Å, 2θ = 25.0°, intensity 72
3.322 Å, 2θ = 26.8°, intensity 71
2.967 Å, 2θ = 30.1°, intensity 36
2.787 Å, 2θ = 32.1°, intensity 100
2.242 Å, 2θ = 40.2°, intensity 50
2.164 Å, 2θ = 41.7°, intensity 23
1.873 Å, 2θ = 48.6°, intensity 25
1.840 Å, 2θ = 49.5°, intensity 21
1.755 Å, 2θ = 52.1°, intensity 25


Entry 7:
Starting from DFT lattice parameters and positions (PBE), the XRD peak list of Ac2O3 was simulated for Cu Kα (weighted mean of Kα1 and Kα2).
Kinematic intensities with the Lorentz-polarization factor, no thermal factor.

Atomic structure:
Cell lengths 6.589, 6.589, 6.589 Å; angles 59.18, 59.18, 59.18 degrees
Fractional positions:
Ac  0.138  0.138  0.138
Ac  0.362  0.362  0.362
Ac  0.638  0.638  0.638
Ac  0.862  0.862  0.862
O  0.032  0.750  0.468
O  0.250  0.532  0.968
O  0.468  0.032  0.750
O  0.532  0.968  0.250
O  0.750  0.468  0.032
O  0.968  0.250  0.532

Main lines, sorted by position (10 to 80 degrees two-theta):
3.294 Å, 2θ = 27.1°, intensity 99
3.254 Å, 2θ = 27.4°, intensity 100
2.315 Å, 2θ = 38.9°, intensity 43
2.081 Å, 2θ = 43.5°, intensity 17
1.910 Å, 2θ = 47.6°, intensity 17
1.886 Å, 2θ = 48.2°, intensity 46
1.879 Å, 2θ = 48.5°, intensity 28
1.627 Å, 2θ = 56.6°, intensity 14
1.470 Å, 2θ = 63.3°, intensity 14
1.459 Å, 2θ = 63.8°, intensity 18


Entry 8:
Starting from DFT lattice parameters and positions (PBE), the XRD peak list of AcO was simulated for Cu Kα (weighted mean of Kα1 and Kα2).
Kinematic intensities with the Lorentz-polarization factor, no thermal factor.

Atomic structure:
Cell lengths 3.807, 3.807, 3.807 Å; angles 60.00, 60.00, 60.00 degrees
Fractional positions:
Ac  0.000  0.000  0.000
O  0.500  0.500  0.500

Main lines, sorted by position (10 to 80 degrees two-theta):
3.109 Å, 2θ = 28.7°, intensity 100
2.692 Å, 2θ = 33.3°, intensity 71
1.904 Å, 2θ = 47.8°, intensity 52
1.623 Å, 2θ = 56.7°, intensity 49
1.554 Å, 2θ = 59.5°, intensity 18
1.346 Å, 2θ = 69.9°, intensity 8
1.235 Å, 2θ = 77.2°, intensity 21
1.204 Å, 2θ = 79.6°, intensity 23